Record 1
# SnPd4Pt4
Calculated powder diffractogram, Cu Kα X-rays. Input: DFT lattice parameters and positions (PBE).

Structure:
Lattice parameters (Å, degrees): 6.316 6.316 6.316 95.69 95.69 143.29
Fractional positions:
Sn 0.000 0.000 0.000
Pd 0.333 0.333 0.667
Pd 0.333 0.667 0.000
Pd 0.667 0.333 0.000
Pd 0.667 0.667 0.333
Pt 0.000 0.335 0.335
Pt 0.000 0.665 0.665
Pt 0.335 0.000 0.335
Pt 0.665 0.000 0.665

Peak list (10 most intense, 2θ = 10–80°, in order of rising 2θ)
2θ 14.78, I = 7
2θ 32.63, I = 4
2θ 39.10, I = 100
2θ 45.39, I = 33
2θ 45.61, I = 16
2θ 49.93, I = 2
2θ 66.14, I = 11
2θ 66.31, I = 21
2θ 79.60, I = 26
2θ 79.91, I = 13

---

Record 2
# Sn3Pd2Pt8
Calculated powder diffractogram, Cu Kα X-rays. Input: DFT lattice parameters and positions (PBE).

Structure:
Lattice parameters (Å, degrees): 10.428 10.428 10.428 29.99 29.99 29.99
Fractional positions:
Sn 0.000 0.000 0.000
Sn 0.153 0.153 0.153
Sn 0.847 0.847 0.847
Pd 0.331 0.331 0.331
Pd 0.669 0.669 0.669
Pt 0.242 0.242 0.242
Pt 0.248 0.248 0.739
Pt 0.248 0.739 0.248
Pt 0.261 0.752 0.752
Pt 0.739 0.248 0.248
Pt 0.752 0.261 0.752
Pt 0.752 0.752 0.261
Pt 0.758 0.758 0.758

Peak list (10 most intense, 2θ = 10–80°, in order of rising 2θ)
2θ 17.83, I = 81
2θ 33.20, I = 21
2θ 36.10, I = 55
2θ 37.93, I = 27
2θ 39.02, I = 100
2θ 40.45, I = 65
2θ 45.82, I = 56
2θ 49.54, I = 53
2θ 69.70, I = 32
2θ 75.59, I = 21

---

Record 3
# SnPdPt5
Calculated powder diffractogram, Cu Kα X-rays. Input: DFT lattice parameters and positions (PBE).

Structure:
Lattice parameters (Å, degrees): 7.156 7.156 7.156 134.25 98.73 98.66
Fractional positions:
Sn 0.327 0.077 0.250
Sn 0.673 0.923 0.750
Pd 0.000 0.000 0.500
Pd 0.000 0.500 0.000
Pt 0.000 0.247 0.247
Pt 0.000 0.753 0.753
Pt 0.265 0.746 0.519
Pt 0.270 0.520 0.750
Pt 0.274 0.254 0.019
Pt 0.500 0.247 0.747
Pt 0.500 0.753 0.253
Pt 0.726 0.746 0.981
Pt 0.730 0.480 0.250
Pt 0.735 0.254 0.481

Peak list (10 most intense, 2θ = 10–80°, in order of rising 2θ)
2θ 19.04, I = 20
2θ 30.31, I = 9
2θ 37.65, I = 12
2θ 38.62, I = 60
2θ 41.07, I = 8
2θ 42.52, I = 100
2θ 43.39, I = 12
2θ 55.77, I = 17
2θ 60.60, I = 8
2θ 72.57, I = 31

---

Record 4
# SnPd3Pt6
Calculated powder diffractogram, Cu Kα X-rays. Input: DFT lattice parameters and positions (PBE).

Structure:
Lattice parameters (Å, degrees): 11.307 11.307 2.794 96.91 96.91 27.98
Fractional positions:
Sn 0.000 0.000 0.000
Pd 0.197 0.197 0.698
Pd 0.500 0.500 0.500
Pd 0.803 0.803 0.302
Pt 0.152 0.642 0.893
Pt 0.302 0.302 0.300
Pt 0.358 0.848 0.107
Pt 0.642 0.152 0.893
Pt 0.698 0.698 0.700
Pt 0.848 0.358 0.107

Peak list (10 most intense, 2θ = 10–80°, in order of rising 2θ)
2θ 16.28, I = 25
2θ 32.31, I = 24
2θ 33.81, I = 24
2θ 36.79, I = 100
2θ 38.22, I = 76
2θ 38.34, I = 76
2θ 41.35, I = 71
2θ 41.47, I = 83
2θ 46.68, I = 60
2θ 48.24, I = 56

---

Record 5
# Sn3Pd5Pt
Calculated powder diffractogram, Cu Kα X-rays. Input: DFT lattice parameters and positions (PBE).

Structure:
Lattice parameters (Å, degrees): 7.925 7.925 5.692 90.00 90.00 120.00
Fractional positions:
Sn 0.000 0.341 0.250
Sn 0.000 0.659 0.750
Sn 0.341 0.000 0.250
Sn 0.341 0.341 0.750
Sn 0.659 0.000 0.750
Sn 0.659 0.659 0.250
Pd 0.000 0.325 0.750
Pd 0.000 0.675 0.250
Pd 0.325 0.000 0.750
Pd 0.325 0.325 0.250
Pd 0.333 0.667 0.000
Pd 0.333 0.667 0.500
Pd 0.667 0.333 0.000
Pd 0.667 0.333 0.500
Pd 0.675 0.000 0.250
Pd 0.675 0.675 0.750
Pt 0.000 0.000 0.000
Pt 0.000 0.000 0.500

Peak list (10 most intense, 2θ = 10–80°, in order of rising 2θ)
2θ 12.90, I = 8
2θ 31.44, I = 4
2θ 38.97, I = 98
2θ 39.39, I = 100
2θ 51.24, I = 6
2θ 56.61, I = 33
2θ 65.61, I = 8
2θ 71.14, I = 33
2θ 71.42, I = 17
2θ 79.29, I = 26

---

Record 6
# Sr5PdPt
Calculated powder diffractogram, Cu Kα X-rays. Input: DFT lattice parameters and positions (PBE).

Structure:
Lattice parameters (Å, degrees): 8.457 4.476 14.189 90.00 92.82 90.00
Fractional positions:
Sr 0.065 0.250 0.177
Sr 0.141 0.750 0.571
Sr 0.323 0.750 0.018
Sr 0.343 0.250 0.777
Sr 0.351 0.250 0.372
Sr 0.649 0.750 0.628
Sr 0.657 0.750 0.223
Sr 0.677 0.250 0.982
Sr 0.859 0.250 0.429
Sr 0.935 0.750 0.823
Pd 0.059 0.750 0.342
Pd 0.941 0.250 0.658
Pt 0.438 0.250 0.152
Pt 0.562 0.750 0.848

Peak list (10 most intense, 2θ = 10–80°, in order of rising 2θ)
2θ 12.47, I = 100
2θ 21.07, I = 25
2θ 25.54, I = 29
2θ 27.63, I = 36
2θ 29.07, I = 41
2θ 29.99, I = 28
2θ 32.16, I = 70
2θ 32.22, I = 32
2θ 38.06, I = 63
2θ 40.30, I = 39

---

Record 7
# SrPd6Pt6
Calculated powder diffractogram, Cu Kα X-rays. Input: DFT lattice parameters and positions (PBE).

Structure:
Lattice parameters (Å, degrees): 7.015 7.015 7.015 135.22 98.56 98.13
Fractional positions:
Sr 0.000 0.000 0.000
Pd 0.208 0.708 0.500
Pd 0.350 0.000 0.350
Pd 0.350 0.350 0.000
Pd 0.650 0.000 0.650
Pd 0.650 0.650 0.000
Pd 0.792 0.292 0.500
Pt 0.000 0.000 0.500
Pt 0.000 0.500 0.000
Pt 0.231 0.500 0.731
Pt 0.500 0.000 0.000
Pt 0.500 0.500 0.500
Pt 0.769 0.500 0.269

Peak list (10 most intense, 2θ = 10–80°, in order of rising 2θ)
2θ 19.25, I = 28
2θ 19.40, I = 49
2θ 39.01, I = 80
2θ 39.21, I = 98
2θ 39.38, I = 38
2θ 43.91, I = 100
2θ 44.08, I = 44
2θ 44.19, I = 35
2θ 56.62, I = 16
2θ 70.90, I = 17

---

Record 8
# TaPd3Pt4
Calculated powder diffractogram, Cu Kα X-rays. Input: DFT lattice parameters and positions (PBE).

Structure:
Lattice parameters (Å, degrees): 8.391 8.391 8.391 152.51 152.51 39.27
Fractional positions:
Ta 0.000 0.000 0.000
Pd 0.253 0.253 0.000
Pd 0.500 0.500 0.000
Pd 0.747 0.747 0.000
Pt 0.121 0.621 0.500
Pt 0.379 0.879 0.500
Pt 0.621 0.121 0.500
Pt 0.879 0.379 0.500

Peak list (10 most intense, 2θ = 10–80°, in order of rising 2θ)
2θ 11.20, I = 4
2θ 22.50, I = 4
2θ 31.73, I = 4
2θ 39.25, I = 100
2θ 45.49, I = 33
2θ 45.93, I = 16
2θ 51.32, I = 2
2θ 66.29, I = 11
2θ 66.64, I = 21
2θ 79.83, I = 26

---

Record 9
# TaPd8Pt6
Calculated powder diffractogram, Cu Kα X-rays. Input: DFT lattice parameters and positions (PBE).

Structure:
Lattice parameters (Å, degrees): 6.874 6.874 6.874 65.43 65.43 65.43
Fractional positions:
Ta 0.000 0.000 0.000
Pd 0.137 0.413 0.835
Pd 0.165 0.863 0.587
Pd 0.252 0.252 0.252
Pd 0.413 0.835 0.137
Pd 0.587 0.165 0.863
Pd 0.748 0.748 0.748
Pd 0.835 0.137 0.413
Pd 0.863 0.587 0.165
Pt 0.070 0.676 0.370
Pt 0.324 0.630 0.930
Pt 0.370 0.070 0.676
Pt 0.630 0.930 0.324
Pt 0.676 0.370 0.070
Pt 0.930 0.324 0.630

Peak list (10 most intense, 2θ = 10–80°, in order of rising 2θ)
2θ 16.50, I = 22
2θ 23.95, I = 20
2θ 35.71, I = 21
2θ 38.67, I = 20
2θ 41.49, I = 100
2θ 42.12, I = 81
2θ 43.46, I = 15
2θ 60.61, I = 23
2θ 75.24, I = 13
2θ 76.55, I = 18

---

Record 10
# TaPd9Pt4
Calculated powder diffractogram, Cu Kα X-rays. Input: DFT lattice parameters and positions (PBE).

Structure:
Lattice parameters (Å, degrees): 7.864 7.864 8.671 90.00 90.00 120.00
Fractional positions:
Ta 0.333 0.667 0.250
Ta 0.667 0.333 0.750
Pd 0.052 0.526 0.750
Pd 0.209 0.417 0.033
Pd 0.209 0.417 0.467
Pd 0.209 0.791 0.033
Pd 0.209 0.791 0.467
Pd 0.417 0.209 0.533
Pd 0.417 0.209 0.967
Pd 0.474 0.526 0.750
Pd 0.474 0.948 0.750
Pd 0.526 0.052 0.250
Pd 0.526 0.474 0.250
Pd 0.583 0.791 0.033
Pd 0.583 0.791 0.467
Pd 0.791 0.209 0.533
Pd 0.791 0.209 0.967
Pd 0.791 0.583 0.533
Pd 0.791 0.583 0.967
Pd 0.948 0.474 0.250
Pt 0.000 0.000 0.000
Pt 0.000 0.000 0.500
Pt 0.114 0.228 0.750
Pt 0.114 0.886 0.750
Pt 0.228 0.114 0.250
Pt 0.772 0.886 0.750
Pt 0.886 0.114 0.250
Pt 0.886 0.772 0.250

Peak list (10 most intense, 2θ = 10–80°, in order of rising 2θ)
2θ 13.00, I = 23
2θ 28.16, I = 24
2θ 40.77, I = 100
2θ 40.96, I = 29
2θ 41.10, I = 36
2θ 41.67, I = 27
2θ 46.18, I = 15
2θ 68.03, I = 16
2θ 72.06, I = 13
2θ 72.78, I = 15

---

Record 11
# TaPd5Pt2
Calculated powder diffractogram, Cu Kα X-rays. Input: DFT lattice parameters and positions (PBE).

Structure:
Lattice parameters (Å, degrees): 5.647 11.240 3.931 90.00 90.00 90.00
Fractional positions:
Ta 0.000 0.000 0.000
Ta 0.500 0.500 0.000
Pd 0.000 0.500 0.000
Pd 0.001 0.244 0.000
Pd 0.249 0.625 0.500
Pd 0.251 0.125 0.500
Pd 0.499 0.744 0.000
Pd 0.500 0.000 0.000
Pd 0.501 0.256 0.000
Pd 0.749 0.875 0.500
Pd 0.751 0.375 0.500
Pd 0.999 0.756 0.000
Pt 0.243 0.880 0.500
Pt 0.257 0.380 0.500
Pt 0.743 0.620 0.500
Pt 0.757 0.120 0.500

Peak list (10 most intense, 2θ = 10–80°, in order of rising 2θ)
2θ 22.32, I = 9
2θ 31.99, I = 8
2θ 39.29, I = 100
2θ 39.42, I = 98
2θ 45.54, I = 65
2θ 46.19, I = 32
2θ 66.20, I = 11
2θ 66.56, I = 10
2θ 66.88, I = 41
2θ 79.86, I = 25

---

Record 12
# Tb3Pd2Pt
Calculated powder diffractogram, Cu Kα X-rays. Input: DFT lattice parameters and positions (PBE).

Structure:
Lattice parameters (Å, degrees): 7.228 7.228 7.228 63.77 63.77 63.77
Fractional positions:
Tb 0.088 0.750 0.412
Tb 0.250 0.588 0.912
Tb 0.412 0.088 0.750
Tb 0.588 0.912 0.250
Tb 0.750 0.412 0.088
Tb 0.912 0.250 0.588
Pd 0.168 0.168 0.168
Pd 0.332 0.332 0.332
Pd 0.668 0.668 0.668
Pd 0.832 0.832 0.832
Pt 0.000 0.000 0.000
Pt 0.500 0.500 0.500

Peak list (10 most intense, 2θ = 10–80°, in order of rising 2θ)
2θ 23.30, I = 14
2θ 28.09, I = 99
2θ 39.33, I = 100
2θ 40.94, I = 83
2θ 50.39, I = 20
2θ 53.67, I = 16
2θ 58.07, I = 32
2θ 66.86, I = 17
2θ 73.49, I = 32
2θ 79.88, I = 24